1.
BaAc8Os4: theoretical XRD peak list (CuKα), based on a cell relaxed with GGA-PBE.
Peak positions follow from Bragg's law for the DFT cell and can differ from measured ones.

Most intense lines, 15° ≤ 2θ ≤ 90°, low angle first:
- 2θ 26.15, intensity 100
- 2θ 27.39, intensity 96
- 2θ 28.61, intensity 44
- 2θ 37.11, intensity 47
- 2θ 40.59, intensity 46
- 2θ 42.76, intensity 74

```
BaAc8Os4
1.0
10.615 -2.223 0.000
10.615 2.223 0.000
-9.502 0.000 10.763
Ba Ac Os
1 8 4
Cartesian
0.000 0.000 0.000
-6.115 0.000 7.916
-2.747 0.000 9.962
0.887 0.000 6.988
3.859 0.000 4.392
7.868 0.000 6.371
10.841 0.000 3.775
14.474 0.000 0.801
17.843 0.000 2.847
-1.367 0.000 4.972
5.482 0.000 1.983
6.245 0.000 8.780
13.094 0.000 5.791
```

2.
HoU2Tl3Te6: theoretical XRD peak list (CuKα), based on a cell relaxed with GGA-PBE.
Peak positions follow from Bragg's law for the DFT cell and can differ from measured ones.

Most intense lines, 15° ≤ 2θ ≤ 90°, low angle first:
- 2θ 27.34, intensity 100
- 2θ 37.26, intensity 40
- 2θ 40.77, intensity 36
- 2θ 49.79, intensity 20
- 2θ 61.31, intensity 16
- 2θ 66.24, intensity 17

```
HoU2Tl3Te6
1.0
3.834 -6.638 0.000
3.834 6.638 0.000
-2.556 0.000 8.283
Ho U Tl Te
1 2 3 6
Cartesian
0.000 0.000 0.000
3.834 2.210 0.000
3.834 -2.210 0.000
2.555 4.417 4.141
2.555 0.000 4.141
2.555 -4.417 4.141
1.266 2.193 1.779
-0.024 0.000 6.497
1.266 -2.193 1.779
3.845 2.193 6.503
5.135 0.000 1.786
3.845 -2.193 6.503
```

3.
HoCuO3: theoretical XRD peak list (CuKα), based on a cell relaxed with GGA-PBE.
Peak positions follow from Bragg's law for the DFT cell and can differ from measured ones.

Most intense lines, 15° ≤ 2θ ≤ 90°, low angle first:
- 2θ 22.15, intensity 26
- 2θ 29.99, intensity 100
- 2θ 32.32, intensity 23
- 2θ 33.76, intensity 86
- 2θ 47.44, intensity 63
- 2θ 53.78, intensity 21

```
HoCuO3
1.0
3.765 0.000 0.000
0.000 12.270 0.000
0.000 0.000 5.308
Ho Cu O
4 4 12
Cartesian
0.924 0.999 1.327
0.924 5.136 3.981
2.841 7.134 1.327
2.841 11.271 3.981
1.558 8.263 3.981
1.558 10.142 1.327
2.207 2.128 3.981
2.207 4.007 1.327
0.916 7.117 2.703
0.916 7.117 5.259
0.916 11.287 0.049
0.916 11.287 2.605
1.284 3.067 0.000
1.284 3.067 2.654
2.482 9.202 0.000
2.482 9.202 2.654
2.850 0.983 2.703
2.850 0.983 5.259
2.850 5.152 0.049
2.850 5.152 2.605
```